This entry pairs a crystal structure of Li4Mn3Cr3Fe2O16 with its calculated powder diffractogram. Radiation: Cu Kα (weighted mean of Kα1 and Kα2). Structure: DFT lattice parameters and positions (PBE+U).
Peak positions follow from Bragg's law for the DFT cell and can differ from measured ones.

Largest 10 diffraction maxima, by intensity, 2θ = 10–80°:
hkl 0 0 2, 2θ = 18.62°, I = 1000; hkl 0 1 -1, 2θ = 19.74°, I = 885; hkl 1 -1 1, 2θ = 19.83°, I = 744; hkl 0 2 1, 2θ = 36.62°, I = 550; hkl 2 -4 0, 2θ = 63.33°, I = 433; hkl 2 0 -3, 2θ = 45.52°, I = 340; hkl 2 -2 2, 2θ = 40.25°, I = 331; hkl 1 1 2, 2θ = 36.05°, I = 305; hkl 0 2 3, 2θ = 45.86°, I = 303; hkl 1 1 -2, 2θ = 35.81°, I = 302

a = 5.8664 Å, b = 5.8709 Å, c = 9.5327 Å
α = 90.15°, β = 90.34°, γ = 119.91°
Space group P1 (No. 1)
One atom of each set of equivalent atoms:
Li: 0.0000 0.0000 0.0000 (multiplicity 1)
Li: 0.0006 0.0031 0.5007 (multiplicity 1)
Li: 0.3454 0.6784 0.6036 (multiplicity 1)
Li: 0.6743 0.3516 0.1038 (multiplicity 1)
Mn: 0.1728 0.8395 0.2825 (multiplicity 1)
Mn: 0.6651 0.8397 0.2818 (multiplicity 1)
Mn: 0.8364 0.6655 0.7812 (multiplicity 1)
Cr: 0.1730 0.3468 0.2830 (multiplicity 1)
Cr: 0.3430 0.1759 0.7825 (multiplicity 1)
Cr: 0.8336 0.1709 0.7848 (multiplicity 1)
Fe: 0.3282 0.6706 0.0070 (multiplicity 1)
Fe: 0.6671 0.3326 0.5057 (multiplicity 1)
O: 0.0412 0.5362 0.1609 (multiplicity 1)
O: 0.1545 0.3287 0.8955 (multiplicity 1)
O: 0.1603 0.8389 0.8970 (multiplicity 1)
O: 0.3259 0.1612 0.3980 (multiplicity 1)
O: 0.3439 0.6864 0.3886 (multiplicity 1)
O: 0.4855 0.9751 0.1635 (multiplicity 1)
O: 0.4913 0.5368 0.1592 (multiplicity 1)
O: 0.5323 0.4932 0.6576 (multiplicity 1)
O: 0.5343 0.0455 0.6623 (multiplicity 1)
O: 0.6771 0.8458 0.8915 (multiplicity 1)
O: 0.6786 0.3502 0.8910 (multiplicity 1)
O: 0.8363 0.1629 0.3969 (multiplicity 1)
O: 0.8421 0.6823 0.3921 (multiplicity 1)
O: 0.9702 0.4869 0.6643 (multiplicity 1)
O: 0.9971 0.9953 0.6863 (multiplicity 1)
O: 0.9979 0.9992 0.1869 (multiplicity 1)